Computed X-ray powder pattern of Gd2SiO5 for copper Kα, from the PBE geometry in the Materials Project.
Intensities are scaled so that the largest is 100.

Most intense lines, 5° ≤ 2θ ≤ 70°, by intensity:
2θ 28.65, intensity 100; 2θ 28.93, intensity 77; 2θ 32.72, intensity 76; 2θ 31.82, intensity 68; 2θ 47.72, intensity 61; 2θ 30.49, intensity 57

```
data_Gd2SiO5
_chemical_formula_sum 'Gd8 Si4 O20'
_cell_length_a 9.225
_cell_length_b 7.112
_cell_length_c 6.783
_cell_angle_alpha 90.00
_cell_angle_beta 107.51
_cell_angle_gamma 90.00
_space_group_name_H-M_alt 'P 1'
_space_group_IT_number 1
loop_
_space_group_symop_operation_xyz
'x,y,z'
loop_
_atom_site_label
_atom_site_type_symbol
_atom_site_fract_x
_atom_site_fract_y
_atom_site_fract_z
Gd1 Gd 0.026 0.124 0.234
Gd2 Gd 0.026 0.376 0.734
Gd3 Gd 0.385 0.148 0.084
Gd4 Gd 0.385 0.352 0.584
Gd5 Gd 0.615 0.648 0.416
Gd6 Gd 0.615 0.852 0.916
Gd7 Gd 0.974 0.624 0.266
Gd8 Gd 0.974 0.876 0.766
Si1 Si 0.298 0.587 0.041
Si2 Si 0.298 0.913 0.541
Si3 Si 0.702 0.087 0.459
Si4 Si 0.702 0.413 0.959
O1 O 0.115 0.639 0.992
O2 O 0.115 0.861 0.492
O3 O 0.116 0.121 0.948
O4 O 0.116 0.379 0.448
O5 O 0.295 0.069 0.357
O6 O 0.295 0.431 0.857
O7 O 0.365 0.043 0.748
O8 O 0.365 0.457 0.248
O9 O 0.406 0.732 0.554
O10 O 0.406 0.768 0.054
O11 O 0.594 0.232 0.946
O12 O 0.594 0.268 0.446
O13 O 0.635 0.543 0.752
O14 O 0.635 0.957 0.252
O15 O 0.705 0.569 0.143
O16 O 0.705 0.931 0.643
O17 O 0.884 0.621 0.552
O18 O 0.884 0.879 0.052
O19 O 0.885 0.139 0.508
O20 O 0.885 0.361 0.008
```